This entry pairs a crystal structure of CaMn4O9 with its theoretical X-ray powder pattern. Radiation: Cu Kα. Structure: DFT lattice parameters and positions (PBE+U).
Intensities are scaled so that the largest is 100.

Peak list (6 most intense, 10 to 90 degrees two-theta, in order of rising 2θ)
- (0 0 1), 2θ 18.3, intensity 61
- (2 1 1), 2θ 29.7, intensity 100
- (1 3 0), 2θ 33.1, intensity 59
- (2 1 2), 2θ 44.2, intensity 26
- (4 2 0), 2θ 47.5, intensity 43
- (3 4 1), 2θ 57.0, intensity 23

Structure:
```
data_CaMn4O9
_chemical_formula_sum 'Ca2 Mn8 O18'
_space_group_name_H-M_alt 'P 4/n'
_space_group_IT_number 85
_cell_length_a 8.564
_cell_length_b 8.564
_cell_length_c 4.856
_cell_angle_alpha 90.00
_cell_angle_beta 90.00
_cell_angle_gamma 90.00
loop_
_space_group_symop_operation_xyz
'x,y,z'
'-x,-y,-z'
'-y+1/2,x,z'
'y+1/2,-x,-z'
'-x+1/2,-y+1/2,z'
'x+1/2,y+1/2,-z'
'y,-x+1/2,z'
'-y,x+1/2,-z'
loop_
_atom_site_label
_atom_site_fract_x
_atom_site_fract_y
_atom_site_fract_z
Ca1 0.250 0.250 0.138
Mn1 0.036 0.658 0.387
O1 0.008 0.327 0.957
O2 0.041 0.144 0.480
O3 0.250 0.750 0.500
```